1.
For Ba4AgAuO6, a structure optimized by DFT (GGA-PBE) gives the simulated powder XRD pattern in this record (CuKα).

Structure:
Cell lengths 13.4046, 5.8999, 11.6296 Å; angles 90.00, 90.00, 90.00 degrees
Space group Cmcm (No. 63)
Asymmetric unit:
Ba: 0.1462 0.0000 0.0000
Ba: 0.1459 0.4361 0.2500
Ag: 0.0000 0.0923 0.7500
Au: 0.0000 0.5000 0.0000
O: 0.0000 0.2301 0.1094
O: 0.1548 0.5000 0.0000
O: 0.1600 0.0975 0.7500

Principal peaks in the range 2θ = 10–90°, in order of falling intensity:
- d 3.037, 2θ 29.41, intensity 100.0, (3 1 2)
- d 2.907, 2θ 30.75, intensity 35.8, (0 0 4)
- d 2.950, 2θ 30.30, intensity 23.5, (0 2 0)
- d 1.703, 2θ 53.85, intensity 20.9, (3 1 6)
- d 2.071, 2θ 43.71, intensity 20.3, (0 2 4)
- d 2.251, 2θ 40.06, intensity 13.5, (5 1 2)
- d 1.518, 2θ 61.02, intensity 13.3, (6 2 4)
- d 2.234, 2θ 40.37, intensity 13.2, (6 0 0)
- d 1.780, 2θ 51.32, intensity 11.6, (6 2 0)
- d 1.771, 2θ 51.59, intensity 10.8, (6 0 4)

=====

2.
For La15Pr4Tl, a structure optimized by DFT (GGA-PBE) gives the simulated powder XRD pattern in this record (CuKα).

Structure:
Cell lengths 5.2122, 5.2122, 26.2974 Å; angles 90.00, 90.00, 90.00 degrees
Space group P4/mmm (No. 123)
Asymmetric unit:
La: 0.0000 0.0000 0.0000
La: 0.0000 0.0000 0.1978
La: 0.0000 0.0000 0.3995
La: 0.0000 0.5000 0.0961
La: 0.0000 0.5000 0.2969
La: 0.0000 0.5000 0.5000
Pr: 0.5000 0.5000 0.1968
Pr: 0.5000 0.5000 0.3997
Tl: 0.5000 0.5000 0.0000

Principal peaks in the range 2θ = 10–90°, in order of falling intensity:
- d 3.018, 2θ 29.60, intensity 100.0, (1 1 5)
- d 2.606, 2θ 34.41, intensity 33.7, (2 0 0)
- d 1.573, 2θ 58.70, intensity 28.7, (3 1 5)
- d 1.851, 2θ 49.22, intensity 23.9, (2 0 10)
- d 2.630, 2θ 34.09, intensity 17.0, (0 0 10)
- d 1.583, 2θ 58.28, intensity 14.0, (1 1 15)
- d 1.509, 2θ 61.44, intensity 12.3, (2 2 10)
- d 1.843, 2θ 49.46, intensity 12.1, (2 2 0)
- d 1.201, 2θ 79.88, intensity 11.2, (3 1 15)
- d 1.196, 2θ 80.24, intensity 5.8, (3 3 5)